Theoretical powder diffractogram of RbNi5Se8 for λ = 1.5418 Å (Cu Kα), from a cell relaxed with GGA-PBE.

Main lines, most intense first (2θ from 10° to 80°):
two_theta  intensity
32.4  100
33.4  66
51.0  63
31.7  44
10.7  40
47.4  39
50.2  35
40.4  28
35.1  27
12.3  25
38.9  24
45.7  22

Structure:
abc: 9.460 9.460 8.622
angles: 106.60 106.60 22.14
Atoms (fractional coordinates):
Rb1 0.000 0.000 0.000
Ni1 0.163 0.163 0.501
Ni2 0.204 0.204 0.823
Ni3 0.500 0.500 0.500
Ni4 0.796 0.796 0.177
Ni5 0.837 0.837 0.499
Se1 0.071 0.071 0.663
Se2 0.257 0.257 0.343
Se3 0.326 0.326 0.022
Se4 0.410 0.410 0.647
Se5 0.590 0.590 0.353
Se6 0.674 0.674 0.978
Se7 0.743 0.743 0.657
Se8 0.929 0.929 0.337